(1)
Diffraction record for CsRbCeBr6. The powder diffraction line list is simulated, not measured: it uses the GGA-PBE geometry in Alexandria and Cu Kα, 1.54184 Å.
Neutral-atom scattering factors, no anomalous dispersion.

Structural model:
Cell: 8.4809 8.4809 14.0572 Å, 90.00 90.00 120.00°
Space group P-31c (No. 163)
Inequivalent atoms, fractional coordinates:
1 Cs 0.0000 0.0000 0.0000
2 Rb 0.3333 0.6667 0.2500
3 Ce 0.3333 0.6667 0.7500
4 Br 0.0593 0.3994 0.6352

The 6 most intense peaks (10° ≤ 2θ ≤ 90°), low angle first:
hkl 1 0 1, d = 6.510 Å, intensity 41; hkl 1 0 2, d = 5.078 Å, intensity 99; hkl 1 1 2, d = 3.631 Å, intensity 98; hkl 1 1 4, d = 2.706 Å, intensity 100; hkl 2 1 2, d = 2.582 Å, intensity 44; hkl 3 0 0, d = 2.448 Å, intensity 50

---

(2)
Diffraction record for CsSrCeBr6. The powder diffraction line list is simulated, not measured: it uses the GGA-PBE geometry in Alexandria and Cu Kα, 1.54184 Å.
Neutral-atom scattering factors, no anomalous dispersion.

Structural model:
Cell: 10.6187 11.0720 15.5630 Å, 90.00 90.00 90.00°
Space group Imma (No. 74)
Inequivalent atoms, fractional coordinates:
1 Cs 0.0000 0.2500 0.0705
2 Sr 0.2500 0.2500 0.7500
3 Ce 0.0000 0.0000 0.5000
4 Br 0.0000 0.2500 0.4366
5 Br 0.0000 0.2500 0.8416
6 Br 0.2013 0.0408 0.6232

The 6 most intense peaks (10° ≤ 2θ ≤ 90°), low angle first:
hkl 1 0 1, d = 8.772 Å, intensity 29; hkl 1 2 1, d = 4.685 Å, intensity 100; hkl 2 0 2, d = 4.386 Å, intensity 43; hkl 0 3 3, d = 3.007 Å, intensity 31; hkl 0 4 0, d = 2.768 Å, intensity 30; hkl 2 2 4, d = 2.730 Å, intensity 71

---

(3)
Diffraction record for Ce2CuBr8. The powder diffraction line list is simulated, not measured: it uses the GGA-PBE geometry in Alexandria and Cu Kα, 1.54184 Å.
Neutral-atom scattering factors, no anomalous dispersion.

Structural model:
Cell: 20.8962 3.9451 8.9937 Å, 90.00 94.26 90.00°
Space group C2/m (No. 12)
Inequivalent atoms, fractional coordinates:
1 Ce 0.1537 0.0000 0.2792
2 Cu 0.0000 0.5000 0.0000
3 Br 0.0096 0.0000 0.1888
4 Br 0.1014 0.5000 0.4725
5 Br 0.1388 0.5000 0.0324
6 Br 0.2403 0.0000 0.6799

The 6 most intense peaks (10° ≤ 2θ ≤ 90°), low angle first:
hkl 2 0 -1, d = 7.062 Å, intensity 100; hkl 6 0 1, d = 3.161 Å, intensity 20; hkl 1 1 -2, d = 2.953 Å, intensity 33; hkl 1 1 2, d = 2.913 Å, intensity 41; hkl 5 1 -1, d = 2.771 Å, intensity 25; hkl 0 2 0, d = 1.973 Å, intensity 20

---

(4)
Diffraction record for CeCuBr6. The powder diffraction line list is simulated, not measured: it uses the GGA-PBE geometry in Alexandria and Cu Kα, 1.54184 Å.
Neutral-atom scattering factors, no anomalous dispersion.

Structural model:
Cell: 7.5244 12.0346 6.8321 Å, 90.00 93.85 90.00°
Space group C2/m (No. 12)
Inequivalent atoms, fractional coordinates:
1 Ce 0.0000 0.0000 0.0000
2 Cu 0.0000 0.0000 0.5000
3 Br 0.1313 0.1479 0.7176
4 Br 0.1889 0.5000 0.7708

The 6 most intense peaks (10° ≤ 2θ ≤ 90°), low angle first:
hkl 1 1 0, d = 6.370 Å, intensity 100; hkl 0 2 0, d = 6.017 Å, intensity 44; hkl 2 0 1, d = 3.199 Å, intensity 30; hkl 1 3 -1, d = 3.182 Å, intensity 57; hkl 1 3 2, d = 2.417 Å, intensity 29; hkl 3 3 0, d = 2.123 Å, intensity 28

---

(5)
Diffraction record for KCeCu2Br8. The powder diffraction line list is simulated, not measured: it uses the GGA-PBE geometry in Alexandria and Cu Kα, 1.54184 Å.
Neutral-atom scattering factors, no anomalous dispersion.

Structural model:
Cell: 7.7122 7.7122 9.0418 Å, 90.00 90.00 120.00°
Space group P-3m1 (No. 164)
Inequivalent atoms, fractional coordinates:
1 K 0.0000 0.0000 0.0000
2 Ce 0.0000 0.0000 0.5000
3 Cu 0.3333 0.6667 0.1913
4 Br 0.1657 0.3315 0.3094
5 Br 0.3333 0.6667 0.9386

The 6 most intense peaks (10° ≤ 2θ ≤ 90°), low angle first:
hkl 1 0 1, d = 5.372 Å, intensity 100; hkl 2 0 1, d = 3.133 Å, intensity 38; hkl 2 0 2, d = 2.686 Å, intensity 39; hkl 2 1 1, d = 2.431 Å, intensity 27; hkl 2 2 0, d = 1.928 Å, intensity 35; hkl 0 2 4, d = 1.872 Å, intensity 33

---

(6)
Diffraction record for CeBrF2. The powder diffraction line list is simulated, not measured: it uses the GGA-PBE geometry in Alexandria and Cu Kα, 1.54184 Å.
Neutral-atom scattering factors, no anomalous dispersion.

Structural model:
Cell: 4.1416 4.1416 16.2012 Å, 90.00 90.00 120.00°
Space group R3m (No. 160, hexagonal axes)
Inequivalent atoms, fractional coordinates:
1 Ce 0.0000 0.0000 0.0000
2 Br 0.0000 0.0000 0.1906
3 F 0.0000 0.0000 0.3787
4 F 0.0000 0.0000 0.6582

The 6 most intense peaks (10° ≤ 2θ ≤ 90°), low angle first:
hkl 0 0 3, d = 5.400 Å, intensity 38; hkl 1 0 1, d = 3.502 Å, intensity 100; hkl 1 0 4, d = 2.685 Å, intensity 43; hkl 0 1 5, d = 2.404 Å, intensity 73; hkl 1 1 0, d = 2.071 Å, intensity 60; hkl 1 1 6, d = 1.643 Å, intensity 41

---

(7)
Diffraction record for Ce7FeBr12. The powder diffraction line list is simulated, not measured: it uses the GGA-PBE geometry in Alexandria and Cu Kα, 1.54184 Å.
Neutral-atom scattering factors, no anomalous dispersion.

Structural model:
Cell: 15.2178 15.2178 10.2897 Å, 90.00 90.00 120.00°
Space group R-3 (No. 148, hexagonal axes)
Inequivalent atoms, fractional coordinates:
1 Ce 0.0000 0.0000 0.0000
2 Ce 0.0411 0.8797 0.3467
3 Fe 0.0000 0.0000 0.5000
4 Br 0.0238 0.4391 0.1604
5 Br 0.0476 0.8652 0.8388

The 6 most intense peaks (10° ≤ 2θ ≤ 90°), low angle first:
hkl 1 1 0, d = 7.609 Å, intensity 33; hkl 4 -1 2, d = 2.980 Å, intensity 100; hkl 5 2 0, d = 2.110 Å, intensity 35; hkl 1 3 4, d = 2.104 Å, intensity 36; hkl 2 6 2, d = 1.722 Å, intensity 17; hkl 6 5 4, d = 1.218 Å, intensity 14

---

(8)
Diffraction record for CeFeBr. The powder diffraction line list is simulated, not measured: it uses the GGA-PBE geometry in Alexandria and Cu Kα, 1.54184 Å.
Neutral-atom scattering factors, no anomalous dispersion.

Structural model:
Cell: 3.9735 3.9735 34.0259 Å, 90.00 90.00 120.00°
Space group R-3m (No. 166, hexagonal axes)
Inequivalent atoms, fractional coordinates:
1 Ce 0.0000 0.0000 0.0560
2 Fe 0.0000 0.0000 0.3354
3 Br 0.0000 0.0000 0.2186

The 6 most intense peaks (10° ≤ 2θ ≤ 90°), low angle first:
hkl 1 0 1, d = 3.424 Å, intensity 46; hkl 1 0 7, d = 2.809 Å, intensity 100; hkl 0 1 8, d = 2.675 Å, intensity 43; hkl 0 1 11, d = 2.300 Å, intensity 43; hkl 1 1 0, d = 1.987 Å, intensity 62; hkl 1 1 18, d = 1.369 Å, intensity 31

---

(9)
Diffraction record for Ce4Ga5Br2. The powder diffraction line list is simulated, not measured: it uses the GGA-PBE geometry in Alexandria and Cu Kα, 1.54184 Å.
Neutral-atom scattering factors, no anomalous dispersion.

Structural model:
Cell: 15.6359 16.7361 4.2284 Å, 90.00 90.00 90.00°
Space group Cmmm (No. 65)
Inequivalent atoms, fractional coordinates:
1 Ce 0.0000 0.1311 0.0000
2 Ce 0.1416 0.3171 0.5000
3 Ce 0.2307 0.0000 0.0000
4 Ga 0.0793 0.0000 0.5000
5 Ga 0.1477 0.1345 0.5000
6 Ga 0.2180 0.1813 0.0000
7 Br 0.0000 0.3224 0.0000
8 Br 0.1242 0.5000 0.5000

The 6 most intense peaks (10° ≤ 2θ ≤ 90°), low angle first:
hkl 4 0 1, d = 2.870 Å, intensity 100; hkl 0 6 0, d = 2.789 Å, intensity 34; hkl 2 4 1, d = 2.780 Å, intensity 27; hkl 3 5 1, d = 2.344 Å, intensity 46; hkl 0 0 2, d = 2.114 Å, intensity 28; hkl 4 6 1, d = 2.000 Å, intensity 37

---

(10)
Diffraction record for Ce2GaBr. The powder diffraction line list is simulated, not measured: it uses the GGA-PBE geometry in Alexandria and Cu Kα, 1.54184 Å.
Neutral-atom scattering factors, no anomalous dispersion.

Structural model:
Cell: 6.4828 20.7436 6.4906 Å, 90.00 90.00 90.00°
Space group Fmm2 (No. 42)
Inequivalent atoms, fractional coordinates:
1 Ce 0.0000 0.1506 0.0000
2 Ce 0.2238 0.0000 0.2460
3 Ga 0.0000 0.0989 0.5145
4 Br 0.2500 0.2500 0.2522

The 6 most intense peaks (10° ≤ 2θ ≤ 90°), low angle first:
hkl 1 3 1, d = 3.822 Å, intensity 20; hkl 0 4 2, d = 2.750 Å, intensity 100; hkl 1 7 1, d = 2.489 Å, intensity 13; hkl 2 0 2, d = 2.293 Å, intensity 36; hkl 2 8 2, d = 1.718 Å, intensity 12; hkl 2 4 4, d = 1.397 Å, intensity 22

---

(11)
Diffraction record for Ce3Ge2Br. The powder diffraction line list is simulated, not measured: it uses the GGA-PBE geometry in Alexandria and Cu Kα, 1.54184 Å.
Neutral-atom scattering factors, no anomalous dispersion.

Structural model:
Cell: 4.7996 14.3766 9.7597 Å, 90.00 104.12 90.00°
Space group C2/c (No. 15)
Inequivalent atoms, fractional coordinates:
1 Ce 0.0000 0.1269 0.2500
2 Ce 0.2499 0.1206 0.9730
3 Ge 0.0000 0.2545 0.7500
4 Ge 0.2500 0.2500 0.5000
5 Br 0.0000 0.4828 0.2500

The 6 most intense peaks (10° ≤ 2θ ≤ 90°), low angle first:
hkl 1 3 1, d = 2.988 Å, intensity 100; hkl 1 3 -3, d = 2.524 Å, intensity 49; hkl 0 0 4, d = 2.366 Å, intensity 32; hkl 2 0 -2, d = 2.325 Å, intensity 41; hkl 1 5 1, d = 2.298 Å, intensity 34; hkl 2 0 2, d = 1.911 Å, intensity 30

---

(12)
Diffraction record for Ce2H4Br3. The powder diffraction line list is simulated, not measured: it uses the GGA-PBE geometry in Alexandria and Cu Kα, 1.54184 Å.
Neutral-atom scattering factors, no anomalous dispersion.

Structural model:
Cell: 9.9224 3.8392 8.0567 Å, 90.00 99.78 90.00°
Space group C2/m (No. 12)
Inequivalent atoms, fractional coordinates:
1 Ce 0.1932 0.0000 0.2856
2 H 0.1147 0.5000 0.1931
3 H 0.2377 0.0000 0.5680
4 Br 0.0000 0.5000 0.5000
5 Br 0.1207 0.0000 0.8722

The 6 most intense peaks (10° ≤ 2θ ≤ 90°), low angle first:
hkl 1 1 -1, d = 3.337 Å, intensity 100; hkl 2 0 2, d = 2.854 Å, intensity 88; hkl 1 1 -2, d = 2.742 Å, intensity 96; hkl 2 0 -3, d = 2.513 Å, intensity 53; hkl 3 1 0, d = 2.485 Å, intensity 86; hkl 4 0 -1, d = 2.457 Å, intensity 53